(1)
Structure and computed powder diffraction line list of LiHgNO (a crystal structure in OQMD, relaxed with PBE; Cu Kα X-rays).

a = 5.4810 Å, b = 8.4756 Å, c = 4.3549 Å
α = 90.00°, β = 90.00°, γ = 90.00°
Atoms (fractional coordinates):
Li  0.0988  0.0813  0.0000
Li  0.4012  0.0813  0.5000
Li  0.5988  0.9187  0.0000
Li  0.9012  0.9187  0.5000
Hg  0.0081  0.3533  0.5182
Hg  0.4919  0.3533  0.0182
Hg  0.5081  0.6467  0.5182
Hg  0.9919  0.6467  0.0182
N  0.0187  0.6041  0.5173
N  0.4813  0.6041  0.0173
N  0.5187  0.3959  0.5173
N  0.9813  0.3959  0.0173
O  0.0528  0.1162  0.5253
O  0.4472  0.1162  0.0253
O  0.5528  0.8838  0.5253
O  0.9472  0.8838  0.0253

Most intense lines, 2θ = 10–90°, by angle:
d [Å]	intensity
8.476	100
3.163	84
2.825	20
2.741	30
2.657	58
2.177	22
1.967	15
1.518	24

***

(2)
Structure and computed powder diffraction line list of KSn5Pt3 (a crystal structure in OQMD, relaxed with PBE; Cu Kα X-rays).

a = 5.5812 Å, b = 5.5812 Å, c = 8.6721 Å
α = 90.00°, β = 90.00°, γ = 120.00°
Atoms (fractional coordinates):
K  0.0000  0.0000  0.0000
Sn  0.0000  0.0000  0.5000
Sn  0.3333  0.6667  0.2196
Sn  0.3333  0.6667  0.7804
Sn  0.6667  0.3333  0.2196
Sn  0.6667  0.3333  0.7804
Pt  0.0000  0.5000  0.5000
Pt  0.5000  0.0000  0.5000
Pt  0.5000  0.5000  0.5000

Most intense lines, 2θ = 10–90°, by angle:
d [Å]	intensity
8.672	100
4.833	19
2.891	21
2.791	14
2.347	20
2.328	41
2.111	58
1.395	14

***

(3)
Structure and computed powder diffraction line list of SrMg2SiPt (a crystal structure in OQMD, relaxed with PBE; Cu Kα X-rays).

a = 4.4676 Å, b = 4.4676 Å, c = 11.2164 Å
α = 90.00°, β = 90.00°, γ = 90.00°
Atoms (fractional coordinates):
Sr  0.0000  0.0000  0.0000
Sr  0.5000  0.5000  0.5000
Mg  0.0000  0.5000  0.2470
Mg  0.0000  0.5000  0.7470
Mg  0.5000  0.0000  0.2470
Mg  0.5000  0.0000  0.7470
Si  0.0000  0.0000  0.6004
Si  0.5000  0.5000  0.1004
Pt  0.0000  0.0000  0.3874
Pt  0.5000  0.5000  0.8874

Most intense lines, 2θ = 10–90°, by angle:
d [Å]	intensity
5.608	66
4.150	78
3.159	74
2.867	100
2.752	91
2.234	56
2.005	57
1.762	49

***

(4)
Structure and computed powder diffraction line list of Nd2Sm2O7 (a crystal structure in OQMD, relaxed with PBE; Cu Kα X-rays).

a = 8.1441 Å, b = 5.9111 Å, c = 5.9111 Å
α = 35.61°, β = 90.00°, γ = 90.00°
Atoms (fractional coordinates):
Nd  0.0000  0.0000  0.0000
Nd  0.5000  0.0089  0.0089
Sm  0.2412  0.7218  0.7218
Sm  0.7588  0.7218  0.7218
O  0.0000  0.3539  0.3539
O  0.0000  0.6296  0.6296
O  0.2473  0.0977  0.0977
O  0.4061  0.3586  0.3586
O  0.5000  0.6390  0.6390
O  0.5939  0.3586  0.3586
O  0.7527  0.0977  0.0977

Most intense lines, 2θ = 10–90°, by angle:
d [Å]	intensity
3.442	38
3.299	100
2.629	54
2.603	61
2.193	23
1.730	37
1.604	22
1.585	24

***

Please write out number 2 again, unchanged.
Structure and computed powder diffraction line list of KSn5Pt3 (a crystal structure in OQMD, relaxed with PBE; Cu Kα X-rays).

a = 5.5812 Å, b = 5.5812 Å, c = 8.6721 Å
α = 90.00°, β = 90.00°, γ = 120.00°
Atoms (fractional coordinates):
K  0.0000  0.0000  0.0000
Sn  0.0000  0.0000  0.5000
Sn  0.3333  0.6667  0.2196
Sn  0.3333  0.6667  0.7804
Sn  0.6667  0.3333  0.2196
Sn  0.6667  0.3333  0.7804
Pt  0.0000  0.5000  0.5000
Pt  0.5000  0.0000  0.5000
Pt  0.5000  0.5000  0.5000

Most intense lines, 2θ = 10–90°, by angle:
d [Å]	intensity
8.672	100
4.833	19
2.891	21
2.791	14
2.347	20
2.328	41
2.111	58
1.395	14